No. 1
The following is a calculated XRD peak list of U2GeOs2. It was derived from a GGA-PBE-relaxed structure, using Cu Ka.
Peak positions follow from Bragg's law for the DFT cell and can differ from measured ones.

Most intense lines, 5 to 70 degrees two-theta, sorted by position:
2θ/deg	intensity
16.14	26
27.59	25
32.51	26
35.20	29
37.59	89
39.74	20
40.34	100
42.21	42
44.06	42
69.66	26

Atomic structure:
a b c (Å): 6.929 9.004 3.093
angles (deg): 90.00 90.00 90.00
Sites, in units of the cell vectors:
U 0.139 0.185 0.000
U 0.361 0.685 0.000
U 0.639 0.315 0.000
U 0.861 0.815 0.000
Ge 0.000 0.500 0.000
Ge 0.500 0.000 0.000
Os 0.191 0.914 0.500
Os 0.309 0.414 0.500
Os 0.691 0.586 0.500
Os 0.809 0.086 0.500



No. 2
The following is a calculated XRD peak list of K3Ag2Pb4. It was derived from a GGA-PBE-relaxed structure, using Cu Ka.
Peak positions follow from Bragg's law for the DFT cell and can differ from measured ones.

Most intense lines, 5 to 70 degrees two-theta, sorted by position:
2θ/deg	intensity
14.31	100
20.89	32
27.03	16
27.58	29
30.16	32
34.77	53
35.65	25
37.32	25
39.81	20
40.16	20

Atomic structure:
a b c (Å): 4.820 7.153 10.274
angles (deg): 102.93 90.06 109.67
Sites, in units of the cell vectors:
K 0.000 0.000 0.000
K 0.369 0.737 0.608
K 0.631 0.263 0.392
Ag 0.342 0.684 0.211
Ag 0.658 0.316 0.789
Pb 0.080 0.162 0.647
Pb 0.287 0.571 0.911
Pb 0.713 0.429 0.089
Pb 0.920 0.838 0.353



No. 3
The following is a calculated XRD peak list of TiNb2Hg2Se6. It was derived from a GGA-PBE-relaxed structure, using Cu Ka.
Peak positions follow from Bragg's law for the DFT cell and can differ from measured ones.

Most intense lines, 5 to 70 degrees two-theta, sorted by position:
2θ/deg	intensity
17.99	20
18.99	21
28.65	25
32.02	49
32.34	100
33.53	24
39.17	34
39.71	18
52.39	52
54.74	18

Atomic structure:
a b c (Å): 6.049 6.049 9.599
angles (deg): 96.53 96.53 119.99
Sites, in units of the cell vectors:
Ti 0.000 0.000 0.000
Nb 0.333 0.667 0.000
Nb 0.667 0.333 0.000
Hg 0.171 0.829 0.500
Hg 0.829 0.171 0.500
Se 0.063 0.391 0.176
Se 0.264 0.264 0.824
Se 0.391 0.063 0.176
Se 0.609 0.937 0.824
Se 0.736 0.736 0.176
Se 0.937 0.609 0.824



No. 4
The following is a calculated XRD peak list of Ba5Sr4. It was derived from a GGA-PBE-relaxed structure, using Cu Ka.
Peak positions follow from Bragg's law for the DFT cell and can differ from measured ones.

Most intense lines, 5 to 70 degrees two-theta, sorted by position:
2θ/deg	intensity
12.04	1
19.09	2
25.71	100
35.61	1
36.68	20
45.33	42
52.84	13
59.59	6
59.71	12
66.05	5

Atomic structure:
a b c (Å): 10.683 10.683 10.683
angles (deg): 153.51 93.13 92.89
Sites, in units of the cell vectors:
Ba 0.000 0.000 0.000
Ba 0.330 0.000 0.330
Ba 0.331 0.331 0.000
Ba 0.669 0.669 0.000
Ba 0.670 0.000 0.670
Sr 0.000 0.331 0.669
Sr 0.000 0.669 0.331
Sr 0.338 0.669 0.669
Sr 0.662 0.331 0.331



No. 5
The following is a calculated XRD peak list of Ga2HgSe3. It was derived from a GGA-PBE-relaxed structure, using Cu Ka.
Peak positions follow from Bragg's law for the DFT cell and can differ from measured ones.

Most intense lines, 5 to 70 degrees two-theta, sorted by position:
2θ/deg	intensity
8.20	100
13.38	67
24.81	44
25.63	81
27.34	43
27.64	42
28.05	65
28.94	92
31.69	57
44.75	61

Atomic structure:
a b c (Å): 9.852 3.862 10.967
angles (deg): 90.00 100.69 90.00
Sites, in units of the cell vectors:
Ga 0.046 0.250 0.394
Ga 0.111 0.250 0.090
Ga 0.889 0.750 0.910
Ga 0.954 0.750 0.606
Hg 0.486 0.250 0.861
Hg 0.514 0.750 0.139
Se 0.118 0.250 0.627
Se 0.148 0.750 0.954
Se 0.238 0.250 0.294
Se 0.762 0.750 0.706
Se 0.852 0.250 0.046
Se 0.882 0.750 0.373